BaTlGaF6: computed powder XRD pattern (Cu Kα X-rays), based on a structure optimized by DFT (PBE).
Lines closer than 0.1° are merged.

Top 6 peaks for 2θ from 5° to 70°, in order of falling intensity:
23.13 deg, intensity 100; 28.53 deg, intensity 40; 44.03 deg, intensity 37; 37.04 deg, intensity 28; 47.38 deg, intensity 20; 47.47 deg, intensity 10

Cell: 6.2620 6.2620 5.4584 Å, 90.03 90.03 120.15°
Sites, in units of the cell vectors:
Ba (0.0000, 0.0000, 0.0000)
Tl (0.3330, 0.6670, 0.5000)
Ga (0.6671, 0.3329, 0.0000)
F (0.4096, 0.0761, 0.7996)
F (0.4113, 0.3328, 0.1999)
F (0.6672, 0.5887, 0.8001)
F (0.6681, 0.0775, 0.2011)
F (0.9225, 0.3319, 0.7989)
F (0.9239, 0.5904, 0.2004)